This entry pairs a crystal structure of Pr4Sm3Er2 with its calculated powder diffraction line list. Radiation: Cu Kα. Structure: the PBE geometry in Alexandria.
Neutral-atom scattering factors, no anomalous dispersion.

Most intense lines, 10 to 90 degrees two-theta, by angle:
d_spacing  intensity  h k l
3.152  53  1 0 0
3.014  54  0 0 9
2.858  77  1 0 4
2.725  100  0 1 5
2.585  16  0 1 6
2.178  34  0 1 9
1.820  41  1 1 0
1.651  27  1 0 14
1.558  46  1 1 9
1.513  18  2 0 5

Cell and atoms:
```
data_Pr4Sm3Er2
_cell_length_a 3.6391
_cell_length_b 3.6391
_cell_length_c 27.1286
_cell_angle_alpha 90.00
_cell_angle_beta 90.00
_cell_angle_gamma 120.00
_space_group_name_H-M_alt 'P 3 m 1'
_space_group_IT_number 156
loop_
_space_group_symop_operation_xyz
'x,y,z'
'-y,x-y,z'
'-x+y,-x,z'
'-y,-x,z'
'-x+y,y,z'
'x,x-y,z'
loop_
_atom_site_label
_atom_site_type_symbol
_atom_site_fract_x
_atom_site_fract_y
_atom_site_fract_z
Pr1 Pr 0.0000 0.0000 0.0000
Pr2 Pr 0.0000 0.0000 0.2205
Pr3 Pr 0.3333 0.6667 0.3346
Pr4 Pr 0.3333 0.6667 0.5575
Sm1 Sm 0.0000 0.0000 0.4452
Sm2 Sm 0.3333 0.6667 0.1081
Sm3 Sm 0.3333 0.6667 0.7706
Er1 Er 0.0000 0.0000 0.6642
Er2 Er 0.0000 0.0000 0.8735
```



This entry pairs a crystal structure of Pr5Sm2Er6 with its calculated powder diffraction line list. Radiation: Cu Kα. Structure: the PBE geometry in Alexandria.
Neutral-atom scattering factors, no anomalous dispersion.

Most intense lines, 10 to 90 degrees two-theta, by angle:
d_spacing  intensity  h k l
2.901  70  4 1 0
2.869  52  1 4 1
2.859  68  1 7 0
2.808  100  2 3 1
2.642  44  2 4 1
2.582  26  3 6 0
2.475  35  3 3 1
1.806  24  0 0 2
1.630  25  6 4 1
1.533  26  4 1 2

Cell and atoms:
```
data_Pr5Sm2Er6
_cell_length_a 11.7219
_cell_length_b 20.6372
_cell_length_c 3.6130
_cell_angle_alpha 90.00
_cell_angle_beta 90.00
_cell_angle_gamma 90.00
_space_group_name_H-M_alt 'P b a m'
_space_group_IT_number 55
loop_
_space_group_symop_operation_xyz
'x,y,z'
'-x,-y,-z'
'-x,-y,z'
'x,y,-z'
'x+1/2,-y+1/2,-z'
'-x+1/2,y+1/2,z'
'-x+1/2,y+1/2,-z'
'x+1/2,-y+1/2,z'
loop_
_atom_site_label
_atom_site_type_symbol
_atom_site_fract_x
_atom_site_fract_y
_atom_site_fract_z
Pr1 Pr 0.0000 0.0000 0.0000
Pr2 Pr 0.0829 0.2755 0.0000
Pr3 Pr 0.2000 0.5504 0.0000
Sm1 Sm 0.1734 0.7141 0.5000
Er1 Er 0.0617 0.4208 0.5000
Er2 Er 0.0773 0.1330 0.5000
Er3 Er 0.1790 0.8661 0.0000
```



This entry pairs a crystal structure of Pr2Sm12Er5 with its calculated powder diffraction line list. Radiation: Cu Kα. Structure: the PBE geometry in Alexandria.
Neutral-atom scattering factors, no anomalous dispersion.

Most intense lines, 10 to 90 degrees two-theta, by angle:
d_spacing  intensity  h k l
3.350  17  1 1 2
2.917  51  0 4 0
2.891  27  3 1 -3
2.864  34  2 0 2
2.822  100  4 2 -1
2.755  52  2 2 -3
2.601  23  1 3 2
2.044  22  2 4 2
1.665  17  4 6 -1
1.659  14  6 2 1

Cell and atoms:
```
data_Pr2Sm12Er5
_cell_length_a 12.9680
_cell_length_b 11.6675
_cell_length_c 9.3871
_cell_angle_alpha 90.00
_cell_angle_beta 116.19
_cell_angle_gamma 90.00
_space_group_name_H-M_alt 'C 1 2/m 1'
_space_group_IT_number 12
loop_
_space_group_symop_operation_xyz
'x,y,z'
'-x,-y,-z'
'-x,y,-z'
'x,-y,z'
'x+1/2,y+1/2,z'
'-x+1/2,-y+1/2,-z'
'-x+1/2,y+1/2,-z'
'x+1/2,-y+1/2,z'
loop_
_atom_site_label
_atom_site_type_symbol
_atom_site_fract_x
_atom_site_fract_y
_atom_site_fract_z
Pr1 Pr 0.0000 0.2247 0.0000
Sm1 Sm 0.0783 0.0000 0.7811
Sm2 Sm 0.1078 0.2205 0.4171
Sm3 Sm 0.1173 0.5000 0.9404
Sm4 Sm 0.1962 0.2543 0.8020
Er1 Er 0.0000 0.5000 0.5000
Er2 Er 0.1906 0.0000 0.2351
Er3 Er 0.1967 0.5000 0.3390
```



This entry pairs a crystal structure of PrSm4Er6 with its calculated powder diffraction line list. Radiation: Cu Kα. Structure: the PBE geometry in Alexandria.
Neutral-atom scattering factors, no anomalous dispersion.

Most intense lines, 10 to 90 degrees two-theta, by angle:
d_spacing  intensity  h k l
3.586  19  2 1 0
2.965  16  1 1 1
2.830  100  2 0 1
2.739  100  2 2 0
2.514  28  2 1 1
2.354  15  3 0 1
1.968  28  4 0 1
1.598  37  4 2 1
1.581  17  6 0 0
1.483  31  2 2 2

Cell and atoms:
```
data_PrSm4Er6
_cell_length_a 10.9546
_cell_length_b 10.9546
_cell_length_c 3.5266
_cell_angle_alpha 90.00
_cell_angle_beta 90.00
_cell_angle_gamma 120.00
_space_group_name_H-M_alt 'P -6 m 2'
_space_group_IT_number 187
_space_group_name_Hall 'P -6 2'
loop_
_atom_site_label
_atom_site_type_symbol
_atom_site_fract_x
_atom_site_fract_y
_atom_site_fract_z
Pr1 Pr 0.0000 0.0000 0.0000
Sm1 Sm 0.3333 0.6667 0.0000
Sm2 Sm 0.3974 0.1987 0.5000
Er1 Er 0.0081 0.5040 0.0000
Er2 Er 0.1715 0.3430 0.5000
```



This entry pairs a crystal structure of Pr2Sm8Er3 with its calculated powder diffraction line list. Radiation: Cu Kα. Structure: the PBE geometry in Alexandria.
Neutral-atom scattering factors, no anomalous dispersion.

Most intense lines, 10 to 90 degrees two-theta, by angle:
d_spacing  intensity  h k l
3.608  20  2 2 0
3.070  34  5 1 1
2.954  33  6 0 -1
2.817  40  0 0 2
2.712  100  4 2 1
2.602  12  8 0 0
2.220  10  2 2 -2
1.718  11  9 3 0
1.605  21  4 2 -3
1.466  11  9 3 2

Cell and atoms:
```
data_Pr2Sm8Er3
_cell_length_a 20.8179
_cell_length_b 7.6931
_cell_length_c 5.6340
_cell_angle_alpha 90.00
_cell_angle_beta 90.01
_cell_angle_gamma 90.00
_space_group_name_H-M_alt 'C 1 2/m 1'
_space_group_IT_number 12
loop_
_space_group_symop_operation_xyz
'x,y,z'
'-x,-y,-z'
'-x,y,-z'
'x,-y,z'
'x+1/2,y+1/2,z'
'-x+1/2,-y+1/2,-z'
'-x+1/2,y+1/2,-z'
'x+1/2,-y+1/2,z'
loop_
_atom_site_label
_atom_site_type_symbol
_atom_site_fract_x
_atom_site_fract_y
_atom_site_fract_z
Pr1 Pr 0.2401 0.0000 0.4994
Sm1 Sm 0.1037 0.2927 0.5001
Sm2 Sm 0.1281 0.0000 0.9998
Sm3 Sm 0.1653 0.5000 0.0004
Er1 Er 0.0000 0.0000 0.5000
Er2 Er 0.0000 0.2859 0.0000
```



This entry pairs a crystal structure of Pr7Sm3Er2 with its calculated powder diffraction line list. Radiation: Cu Kα. Structure: the PBE geometry in Alexandria.
Neutral-atom scattering factors, no anomalous dispersion.

Most intense lines, 10 to 90 degrees two-theta, by angle:
d_spacing  intensity  h k l
3.074  56  1 1 1
2.986  81  2 0 -3
2.958  100  0 0 6
2.922  95  1 1 2
2.736  66  2 0 3
2.631  85  1 1 -4
1.866  38  3 1 -1
1.566  24  3 1 -7
1.541  27  2 2 -3
1.537  28  0 2 6

Cell and atoms:
```
data_Pr7Sm3Er2
_cell_length_a 6.5473
_cell_length_b 3.5972
_cell_length_c 17.8418
_cell_angle_alpha 90.00
_cell_angle_beta 95.93
_cell_angle_gamma 90.00
_space_group_name_H-M_alt 'P 1 2/m 1'
_space_group_IT_number 10
loop_
_space_group_symop_operation_xyz
'x,y,z'
'-x,-y,-z'
'-x,y,-z'
'x,-y,z'
loop_
_atom_site_label
_atom_site_type_symbol
_atom_site_fract_x
_atom_site_fract_y
_atom_site_fract_z
Pr1 Pr 0.0000 0.0000 0.0000
Pr2 Pr 0.2232 0.5000 0.1715
Pr3 Pr 0.2563 0.5000 0.4934
Pr4 Pr 0.2741 0.0000 0.8309
Sm1 Sm 0.4558 0.0000 0.3391
Sm2 Sm 0.5000 0.5000 0.0000
Er1 Er 0.0579 0.5000 0.6698
```



This entry pairs a crystal structure of Pr2SmEr5 with its calculated powder diffraction line list. Radiation: Cu Kα. Structure: the PBE geometry in Alexandria.
Neutral-atom scattering factors, no anomalous dispersion.

Most intense lines, 10 to 90 degrees two-theta, by angle:
d_spacing  intensity  h k l
2.917  100  2 0 1
2.526  51  2 4 0
1.786  36  2 4 2
1.523  43  2 8 1
1.458  12  0 8 2
1.263  6  0 0 4
1.159  18  2 8 3
1.130  17  2 12 0

Cell and atoms:
```
data_Pr2SmEr5
_cell_length_a 7.1427
_cell_length_b 14.2858
_cell_length_c 5.0556
_cell_angle_alpha 90.00
_cell_angle_beta 90.00
_cell_angle_gamma 90.00
_space_group_name_H-M_alt 'P b a m'
_space_group_IT_number 55
loop_
_space_group_symop_operation_xyz
'x,y,z'
'-x,-y,-z'
'-x,-y,z'
'x,y,-z'
'x+1/2,-y+1/2,-z'
'-x+1/2,y+1/2,z'
'-x+1/2,y+1/2,-z'
'x+1/2,-y+1/2,z'
loop_
_atom_site_label
_atom_site_type_symbol
_atom_site_fract_x
_atom_site_fract_y
_atom_site_fract_z
Pr1 Pr 0.2470 0.1256 0.0000
Sm1 Sm 0.0000 0.5000 0.5000
Er1 Er 0.0000 0.0000 0.5000
Er2 Er 0.0032 0.7507 0.5000
Er3 Er 0.2475 0.3747 0.0000
```



This entry pairs a crystal structure of PrSm10Er4 with its calculated powder diffraction line list. Radiation: Cu Kα. Structure: the PBE geometry in Alexandria.
Neutral-atom scattering factors, no anomalous dispersion.

Most intense lines, 10 to 90 degrees two-theta, by angle:
d_spacing  intensity  h k l
4.100  16  2 1 1
3.384  26  1 0 3
3.134  81  3 1 0
2.939  15  2 2 2
2.794  100  2 1 3
2.710  37  3 1 2
2.216  28  2 4 0
2.185  23  2 3 3
1.561  21  1 3 6
1.356  16  1 7 2

Cell and atoms:
```
data_PrSm10Er4
_cell_length_a 9.9101
_cell_length_b 9.9101
_cell_length_c 10.7998
_cell_angle_alpha 90.00
_cell_angle_beta 90.00
_cell_angle_gamma 90.00
_space_group_name_H-M_alt 'I 4/m'
_space_group_IT_number 87
_space_group_name_Hall '-I 4'
loop_
_atom_site_label
_atom_site_type_symbol
_atom_site_fract_x
_atom_site_fract_y
_atom_site_fract_z
Pr1 Pr 0.0000 0.0000 0.0000
Sm1 Sm 0.0000 0.5000 0.2500
Sm2 Sm 0.1187 0.2244 0.1707
Er1 Er 0.0567 0.2800 0.5000
```



This entry pairs a crystal structure of Pr9SmEr2 with its calculated powder diffraction line list. Radiation: Cu Kα. Structure: the PBE geometry in Alexandria.
Neutral-atom scattering factors, no anomalous dispersion.

Most intense lines, 10 to 90 degrees two-theta, by angle:
d_spacing  intensity  h k l
2.997  100  1 1 3
2.596  51  2 0 0
1.835  36  2 2 0
1.565  43  3 1 3
1.499  12  2 2 6
1.298  6  4 0 0
1.191  18  3 3 3
1.161  16  4 2 0

Cell and atoms:
```
data_Pr9SmEr2
_cell_length_a 5.1903
_cell_length_b 5.1903
_cell_length_c 15.5773
_cell_angle_alpha 90.00
_cell_angle_beta 90.00
_cell_angle_gamma 90.00
_space_group_name_H-M_alt 'P 4/m m m'
_space_group_IT_number 123
_space_group_name_Hall '-P 4 2'
loop_
_atom_site_label
_atom_site_type_symbol
_atom_site_fract_x
_atom_site_fract_y
_atom_site_fract_z
Pr1 Pr 0.0000 0.0000 0.0000
Pr2 Pr 0.0000 0.0000 0.3348
Pr3 Pr 0.0000 0.5000 0.1685
Pr4 Pr 0.0000 0.5000 0.5000
Sm1 Sm 0.5000 0.5000 0.0000
Er1 Er 0.5000 0.5000 0.3344
```



This entry pairs a crystal structure of Pr2Sm7Er with its calculated powder diffraction line list. Radiation: Cu Kα. Structure: the PBE geometry in Alexandria.
Neutral-atom scattering factors, no anomalous dispersion.

Most intense lines, 10 to 90 degrees two-theta, by angle:
d_spacing  intensity  h k l
2.966  100  1 1 1
2.569  51  2 1 -2
1.817  36  3 0 1
1.549  43  0 3 2
1.483  12  2 2 2
1.284  6  4 2 -4
1.179  18  2 4 0
1.149  4  -1 3 5
1.149  12  0 5 0

Cell and atoms:
```
data_Pr2Sm7Er
_cell_length_a 6.2908
_cell_length_b 6.2920
_cell_length_c 9.6135
_cell_angle_alpha 109.06
_cell_angle_beta 102.60
_cell_angle_gamma 99.61
_space_group_name_H-M_alt 'P -1'
_space_group_IT_number 2
loop_
_space_group_symop_operation_xyz
'x,y,z'
'-x,-y,-z'
loop_
_atom_site_label
_atom_site_type_symbol
_atom_site_fract_x
_atom_site_fract_y
_atom_site_fract_z
Pr1 Pr 0.1016 0.1993 0.2018
Sm1 Sm 0.2001 0.4007 0.8987
Sm2 Sm 0.2977 0.5988 0.5991
Sm3 Sm 0.4022 0.8013 0.3020
Sm4 Sm 0.5000 0.0000 0.0000
Er1 Er 0.0000 0.0000 0.5000
```



This entry pairs a crystal structure of Tb3PrSm2Er6 with its calculated powder diffraction line list. Radiation: Cu Kα. Structure: the PBE geometry in Alexandria.
Neutral-atom scattering factors, no anomalous dispersion.

Most intense lines, 10 to 90 degrees two-theta, by angle:
d_spacing  intensity  h k l
2.906  100  1 3 1
2.888  33  0 0 4
2.513  67  2 0 2
1.781  24  0 6 0
1.773  24  1 3 5
1.518  14  4 0 0
1.516  28  3 3 3
1.511  14  2 0 6
1.453  12  2 6 2
1.155  12  4 6 0

Cell and atoms:
```
data_Tb3PrSm2Er6
_cell_length_a 6.1710
_cell_length_b 10.6807
_cell_length_c 11.7329
_cell_angle_alpha 90.00
_cell_angle_beta 100.06
_cell_angle_gamma 90.00
_space_group_name_H-M_alt 'C 1 2/m 1'
_space_group_IT_number 12
loop_
_space_group_symop_operation_xyz
'x,y,z'
'-x,-y,-z'
'-x,y,-z'
'x,-y,z'
'x+1/2,y+1/2,z'
'-x+1/2,-y+1/2,-z'
'-x+1/2,y+1/2,-z'
'x+1/2,-y+1/2,z'
loop_
_atom_site_label
_atom_site_type_symbol
_atom_site_fract_x
_atom_site_fract_y
_atom_site_fract_z
Tb1 Tb 0.0000 0.0000 0.0000
Tb2 Tb 0.0000 0.3333 0.0000
Pr1 Pr 0.0000 0.5000 0.5000
Sm1 Sm 0.0000 0.1667 0.5000
Er1 Er 0.2484 0.1668 0.2474
Er2 Er 0.2490 0.5000 0.2475
```



This entry pairs a crystal structure of TbPr2Sm2Er2 with its calculated powder diffraction line list. Radiation: Cu Kα. Structure: the PBE geometry in Alexandria.
Neutral-atom scattering factors, no anomalous dispersion.

Most intense lines, 10 to 90 degrees two-theta, by angle:
d_spacing  intensity  h k l
2.947  100  1 1 2
2.554  17  2 0 -3
2.552  34  4 0 1
1.805  36  4 2 1
1.539  43  7 1 0
1.474  12  6 2 -2
1.276  6  8 0 2
1.171  15  7 3 0
1.171  3  3 1 6
1.142  15  8 2 2

Cell and atoms:
```
data_TbPr2Sm2Er2
_cell_length_a 11.4193
_cell_length_b 5.1041
_cell_length_c 8.0714
_cell_angle_alpha 90.00
_cell_angle_beta 98.20
_cell_angle_gamma 90.00
_space_group_name_H-M_alt 'C 1 2/m 1'
_space_group_IT_number 12
loop_
_space_group_symop_operation_xyz
'x,y,z'
'-x,-y,-z'
'-x,y,-z'
'x,-y,z'
'x+1/2,y+1/2,z'
'-x+1/2,-y+1/2,-z'
'-x+1/2,y+1/2,-z'
'x+1/2,-y+1/2,z'
loop_
_atom_site_label
_atom_site_type_symbol
_atom_site_fract_x
_atom_site_fract_y
_atom_site_fract_z
Tb1 Tb 0.0000 0.0000 0.0000
Pr1 Pr 0.1432 0.0000 0.4273
Sm1 Sm 0.0707 0.5000 0.7200
Er1 Er 0.2153 0.5000 0.1391
```



Please write out number 9 again, unchanged.
This entry pairs a crystal structure of Pr9SmEr2 with its calculated powder diffraction line list. Radiation: Cu Kα. Structure: the PBE geometry in Alexandria.
Neutral-atom scattering factors, no anomalous dispersion.

Most intense lines, 10 to 90 degrees two-theta, by angle:
d_spacing  intensity  h k l
2.997  100  1 1 3
2.596  51  2 0 0
1.835  36  2 2 0
1.565  43  3 1 3
1.499  12  2 2 6
1.298  6  4 0 0
1.191  18  3 3 3
1.161  16  4 2 0

Cell and atoms:
```
data_Pr9SmEr2
_cell_length_a 5.1903
_cell_length_b 5.1903
_cell_length_c 15.5773
_cell_angle_alpha 90.00
_cell_angle_beta 90.00
_cell_angle_gamma 90.00
_space_group_name_H-M_alt 'P 4/m m m'
_space_group_IT_number 123
_space_group_name_Hall '-P 4 2'
loop_
_atom_site_label
_atom_site_type_symbol
_atom_site_fract_x
_atom_site_fract_y
_atom_site_fract_z
Pr1 Pr 0.0000 0.0000 0.0000
Pr2 Pr 0.0000 0.0000 0.3348
Pr3 Pr 0.0000 0.5000 0.1685
Pr4 Pr 0.0000 0.5000 0.5000
Sm1 Sm 0.5000 0.5000 0.0000
Er1 Er 0.5000 0.5000 0.3344
```